No. 1
The following is a simulated powder XRD pattern of Tb3NdMg. It was derived from a PBE-relaxed structure, using CuKα.
Neutral-atom scattering factors, no anomalous dispersion.

Principal peaks in the range 5° ≤ 2θ ≤ 70°, most intense first:
2.801 Å, 2θ = 31.9°, rel. 100
2.757 Å, 2θ = 32.5°, rel. 51
2.876 Å, 2θ = 31.1°, rel. 46
2.713 Å, 2θ = 33.0°, rel. 45
2.861 Å, 2θ = 31.3°, rel. 44
1.475 Å, 2θ = 63.0°, rel. 21
7.333 Å, 2θ = 12.1°, rel. 20
9.732 Å, 2θ = 9.1°, rel. 20
1.600 Å, 2θ = 57.6°, rel. 18
1.938 Å, 2θ = 46.9°, rel. 18

Structure:
Cell lengths 9.979, 9.979, 6.535 Å; angles 100.79, 100.79, 81.37 degrees
Element x y z (fractional)
Tb (0.096, 0.708, 0.541)
Tb (0.123, 0.491, 0.861)
Tb (0.223, 0.371, 0.353)
Tb (0.292, 0.904, 0.959)
Tb (0.371, 0.223, 0.853)
Tb (0.491, 0.123, 0.361)
Tb (0.509, 0.877, 0.639)
Tb (0.629, 0.777, 0.147)
Tb (0.708, 0.096, 0.041)
Tb (0.777, 0.629, 0.647)
Tb (0.877, 0.509, 0.139)
Tb (0.904, 0.292, 0.459)
Nd (0.024, 0.177, 0.953)
Nd (0.177, 0.024, 0.453)
Nd (0.823, 0.976, 0.547)
Nd (0.976, 0.823, 0.047)
Mg (0.334, 0.666, 0.250)
Mg (0.426, 0.574, 0.750)
Mg (0.574, 0.426, 0.250)
Mg (0.666, 0.334, 0.750)

No. 2
The following is a simulated powder XRD pattern of DyPa4Se7. It was derived from a PBE-relaxed structure, using CuKα.
Neutral-atom scattering factors, no anomalous dispersion.

Principal peaks in the range 5° ≤ 2θ ≤ 70°, most intense first:
3.037 Å, 2θ = 29.4°, rel. 100
11.908 Å, 2θ = 7.4°, rel. 59
2.638 Å, 2θ = 34.0°, rel. 48
2.038 Å, 2θ = 44.4°, rel. 46
1.974 Å, 2θ = 46.0°, rel. 43
7.939 Å, 2θ = 11.1°, rel. 23
1.692 Å, 2θ = 54.2°, rel. 18
3.492 Å, 2θ = 25.5°, rel. 18
3.226 Å, 2θ = 27.7°, rel. 17
2.276 Å, 2θ = 39.6°, rel. 15

Structure:
Cell lengths 4.076, 4.076, 23.817 Å; angles 90.00, 90.00, 120.00 degrees
Element x y z (fractional)
Dy (0.000, 0.000, 0.000)
Pa (0.333, 0.667, 0.141)
Pa (0.333, 0.667, 0.432)
Pa (0.667, 0.333, 0.568)
Pa (0.667, 0.333, 0.859)
Se (0.000, 0.000, 0.209)
Se (0.000, 0.000, 0.500)
Se (0.000, 0.000, 0.791)
Se (0.333, 0.667, 0.636)
Se (0.333, 0.667, 0.931)
Se (0.667, 0.333, 0.069)
Se (0.667, 0.333, 0.364)